This entry pairs a crystal structure of HfMg6Cu with its calculated powder XRD pattern. Radiation: Cu Kα. Structure: a crystal structure in the Materials Project, relaxed with GGA-PBE.
Lines closer than 0.1° are merged.

```
data_HfMg6Cu
_space_group_name_H-M_alt 'A m m 2'
_space_group_IT_number 38
_cell_length_a 4.906
_cell_length_b 5.938
_cell_length_c 11.370
_cell_angle_alpha 90.00
_cell_angle_beta 90.00
_cell_angle_gamma 90.00
loop_
_space_group_symop_operation_xyz
'x,y,z'
'-x,-y,z'
'-x,y,z'
'x,-y,z'
'x,y+1/2,z+1/2'
'-x,-y+1/2,z+1/2'
'-x,y+1/2,z+1/2'
'x,-y+1/2,z+1/2'
loop_
_atom_site_label
_atom_site_fract_x
_atom_site_fract_y
_atom_site_fract_z
Hf1 0.000 0.000 0.000
Mg1 0.000 0.249 0.248
Mg2 0.500 0.000 0.152
Mg3 0.500 0.000 0.628
Mg4 0.500 0.249 0.900
Cu1 0.000 0.000 0.471
```

Principal peaks in the range 10° ≤ 2θ ≤ 90°, low angle first:
two_theta, I_rel
15.59, 71
16.84, 35
18.08, 49
23.96, 46
24.81, 31
34.07, 43
36.57, 100
38.83, 92
50.88, 27
74.70, 23